1.
Theoretical X-ray diffraction stick pattern of Ac7DyTm2 for copper Kα, from a crystal structure in Alexandria, relaxed with GGA-PBE.
Kinematic intensities with the Lorentz-polarization factor, no thermal factor.

The 6 most intense peaks (2θ from 5° to 70°), low angle first:
2theta, I_rel
14.52, 69
28.04, 100
29.29, 79
30.77, 81
32.27, 71
40.99, 74

Cell and atoms:
Cell lengths 10.1256, 16.3673, 6.0990 Å; angles 90.00, 90.00, 90.00 degrees
Space group Cmmm (No. 65)
Asymmetric unit:
Ac (0.0000, 0.0000, 0.0000)
Ac (0.0000, 0.2591, 0.5000)
Ac (0.1852, 0.3765, 0.0000)
Dy (0.0000, 0.5000, 0.5000)
Tm (0.0000, 0.2022, 0.0000)



2.
Theoretical X-ray diffraction stick pattern of Zn2Cu7Ni3 for copper Kα, from a crystal structure in Alexandria, relaxed with GGA-PBE.
Kinematic intensities with the Lorentz-polarization factor, no thermal factor.

The 6 most intense peaks (2θ from 5° to 70°), low angle first:
2theta, I_rel
5.86, 97
42.57, 66
44.11, 98
44.21, 75
45.68, 100
48.05, 56

Cell and atoms:
Cell lengths 2.6090, 3.9722, 15.1303 Å; angles 90.00, 94.75, 90.00 degrees
Space group P2/m (No. 10)
Asymmetric unit:
Zn (0.1346, 0.0000, 0.2757)
Cu (0.0862, 0.5000, 0.1726)
Cu (0.2180, 0.0000, 0.4318)
Cu (0.4355, 0.0000, 0.8686)
Cu (0.5000, 0.5000, 0.0000)
Ni (0.0000, 0.0000, 0.0000)
Ni (0.3307, 0.5000, 0.6574)



3.
Theoretical X-ray diffraction stick pattern of Li2ScTl5 for copper Kα, from a crystal structure in Alexandria, relaxed with GGA-PBE.
Kinematic intensities with the Lorentz-polarization factor, no thermal factor.

The 6 most intense peaks (2θ from 5° to 70°), low angle first:
2theta, I_rel
23.37, 38
33.29, 59
35.49, 100
47.80, 22
60.92, 43
65.10, 17

Cell and atoms:
Cell lengths 7.6114, 7.6114, 6.7712 Å; angles 90.00, 90.00, 90.00 degrees
Space group I4mm (No. 107)
Asymmetric unit:
Li (0.0000, 0.5000, 0.0000)
Sc (0.0000, 0.0000, 0.9998)
Tl (0.0000, 0.0000, 0.5007)
Tl (0.2498, 0.2498, 0.2500)